Calculated X-ray diffraction stick pattern
Compound: Ac2BiPd6Pb
Radiation: λ = 1.5418 Å (Cu Kα)
Structure: a DFT-relaxed cell (GGA-PBE, Alexandria)
Kinematic intensities with the Lorentz-polarization factor, no thermal factor.

Crystal structure
Cell: 5.695 7.040 7.076 Å, 79.34 66.42 66.30°
Fractional positions:
Ac (0.025, 0.224, 0.224)
Ac (0.975, 0.776, 0.776)
Bi (0.500, 0.500, 0.000)
Pd (0.002, 0.230, 0.764)
Pd (0.315, 0.432, 0.434)
Pd (0.495, 0.770, 0.236)
Pd (0.505, 0.230, 0.764)
Pd (0.685, 0.568, 0.566)
Pd (0.998, 0.770, 0.236)
Pb (0.500, 0.000, 0.500)

The 10 most intense peaks (10° ≤ 2θ ≤ 90°), in order of falling intensity:
2theta, I/Imax
27.0, 100.0
38.8, 76.9
38.6, 46.4
40.0, 44.3
27.1, 32.4
37.1, 32.1
37.0, 32.1
37.4, 22.3
55.8, 20.8
55.6, 18.9

---

Calculated X-ray diffraction stick pattern
Compound: KLiH4S2N2O6
Radiation: λ = 1.5418 Å (Cu Kα)
Structure: a DFT-relaxed cell (GGA-PBE, Alexandria)
Kinematic intensities with the Lorentz-polarization factor, no thermal factor.

Crystal structure
Cell: 5.322 8.571 8.972 Å, 90.00 105.62 90.00°
Fractional positions:
K (0.211, 0.000, 0.034)
K (0.789, 0.500, 0.966)
Li (0.093, 0.308, 0.655)
Li (0.907, 0.808, 0.345)
H (0.323, 0.454, 0.431)
H (0.364, 0.018, 0.533)
H (0.444, 0.655, 0.632)
H (0.480, 0.796, 0.772)
H (0.520, 0.296, 0.228)
H (0.556, 0.155, 0.368)
H (0.636, 0.518, 0.467)
H (0.677, 0.954, 0.569)
S (0.082, 0.690, 0.706)
S (0.365, 0.628, 0.254)
S (0.635, 0.128, 0.746)
S (0.918, 0.190, 0.294)
N (0.403, 0.688, 0.735)
N (0.442, 0.549, 0.431)
N (0.558, 0.049, 0.569)
N (0.597, 0.188, 0.265)
O (0.001, 0.026, 0.324)
O (0.037, 0.290, 0.429)
O (0.039, 0.750, 0.850)
O (0.088, 0.671, 0.227)
O (0.405, 0.512, 0.142)
O (0.466, 0.265, 0.735)
O (0.534, 0.765, 0.265)
O (0.595, 0.012, 0.858)
O (0.912, 0.171, 0.773)
O (0.961, 0.250, 0.150)
O (0.963, 0.790, 0.571)
O (0.999, 0.526, 0.676)

The 10 most intense peaks (10° ≤ 2θ ≤ 90°), in order of falling intensity:
2theta, I/Imax
24.7, 100.0
25.3, 87.2
29.4, 83.2
20.7, 55.7
20.4, 54.4
20.6, 43.7
20.2, 36.9
27.3, 24.4
36.0, 23.9
23.2, 21.8

---

Calculated X-ray diffraction stick pattern
Compound: MgZr6Zn5
Radiation: λ = 1.5418 Å (Cu Kα)
Structure: a DFT-relaxed cell (GGA-PBE, Alexandria)
Kinematic intensities with the Lorentz-polarization factor, no thermal factor.

Crystal structure
Cell: 8.257 8.257 8.257 Å, 146.51 131.74 60.02°
Fractional positions:
Mg (0.000, 0.000, 0.000)
Zr (0.084, 0.829, 0.255)
Zr (0.261, 0.500, 0.761)
Zr (0.425, 0.171, 0.255)
Zr (0.575, 0.829, 0.745)
Zr (0.739, 0.500, 0.239)
Zr (0.916, 0.171, 0.745)
Zn (0.159, 0.659, 0.500)
Zn (0.333, 0.333, 0.000)
Zn (0.500, 0.000, 0.500)
Zn (0.667, 0.667, 0.000)
Zn (0.841, 0.341, 0.500)

The 10 most intense peaks (10° ≤ 2θ ≤ 90°), in order of falling intensity:
2theta, I/Imax
37.7, 100.0
68.1, 21.2
54.5, 11.0
68.2, 10.9
80.6, 8.1
54.4, 5.5
26.4, 4.7
80.8, 1.7
14.5, 1.3
46.7, 1.2

---

Calculated X-ray diffraction stick pattern
Compound: AlPbIO6
Radiation: λ = 1.5418 Å (Cu Kα)
Structure: a DFT-relaxed cell (GGA-PBE, Alexandria)
Kinematic intensities with the Lorentz-polarization factor, no thermal factor.

Crystal structure
Cell: 5.116 5.116 5.517 Å, 90.00 90.00 120.00°
Fractional positions:
Al (0.000, 0.000, 0.000)
Pb (0.667, 0.333, 0.500)
I (0.333, 0.667, 0.000)
O (0.051, 0.336, 0.195)
O (0.051, 0.715, 0.805)
O (0.285, 0.336, 0.805)
O (0.285, 0.949, 0.195)
O (0.664, 0.715, 0.195)
O (0.664, 0.949, 0.805)

The 10 most intense peaks (10° ≤ 2θ ≤ 90°), in order of falling intensity:
2theta, I/Imax
25.8, 100.0
48.5, 31.1
35.1, 24.5
57.5, 21.6
44.0, 21.4
20.0, 19.2
54.0, 11.9
38.4, 10.7
77.0, 9.3
80.0, 9.1

---

Calculated X-ray diffraction stick pattern
Compound: Ho4PdAu3
Radiation: λ = 1.5418 Å (Cu Kα)
Structure: a DFT-relaxed cell (GGA-PBE, Alexandria)
Kinematic intensities with the Lorentz-polarization factor, no thermal factor.

Crystal structure
Cell: 3.720 4.658 10.770 Å, 90.00 90.00 90.00°
Fractional positions:
Ho (0.000, 0.000, 0.000)
Ho (0.000, 0.500, 0.271)
Ho (0.500, 0.000, 0.489)
Ho (0.500, 0.500, 0.773)
Pd (0.500, 0.000, 0.221)
Au (0.000, 0.000, 0.723)
Au (0.000, 0.500, 0.544)
Au (0.500, 0.500, 0.048)

The 10 most intense peaks (10° ≤ 2θ ≤ 90°), in order of falling intensity:
2theta, I/Imax
31.9, 100.0
39.9, 76.1
38.6, 60.6
33.3, 31.3
65.7, 25.1
49.0, 18.5
51.9, 18.0
64.1, 16.6
64.0, 14.6
70.8, 14.3

---

Calculated X-ray diffraction stick pattern
Compound: BiP4O12
Radiation: λ = 1.5418 Å (Cu Kα)
Structure: a DFT-relaxed cell (GGA-PBE, Alexandria)
Kinematic intensities with the Lorentz-polarization factor, no thermal factor.

Crystal structure
Cell: 7.355 8.562 8.018 Å, 90.00 91.63 90.00°
Fractional positions:
Bi (0.247, 0.000, 0.251)
Bi (0.753, 0.500, 0.749)
P (0.007, 0.146, 0.622)
P (0.095, 0.416, 0.100)
P (0.389, 0.246, 0.599)
P (0.432, 0.622, 0.098)
P (0.568, 0.122, 0.902)
P (0.611, 0.746, 0.401)
P (0.905, 0.916, 0.900)
P (0.993, 0.646, 0.378)
O (0.012, 0.035, 0.784)
O (0.018, 0.435, 0.926)
O (0.030, 0.046, 0.470)
O (0.091, 0.254, 0.172)
O (0.159, 0.748, 0.373)
O (0.183, 0.251, 0.662)
O (0.304, 0.472, 0.108)
O (0.323, 0.770, 0.073)
O (0.392, 0.193, 0.421)
O (0.425, 0.097, 0.030)
O (0.472, 0.401, 0.642)
O (0.476, 0.110, 0.718)
O (0.524, 0.610, 0.282)
O (0.528, 0.901, 0.358)
O (0.575, 0.597, 0.970)
O (0.608, 0.693, 0.579)
O (0.677, 0.270, 0.927)
O (0.696, 0.972, 0.892)
O (0.817, 0.751, 0.338)
O (0.841, 0.248, 0.627)
O (0.909, 0.754, 0.828)
O (0.970, 0.546, 0.530)
O (0.982, 0.935, 0.074)
O (0.988, 0.535, 0.216)

The 10 most intense peaks (10° ≤ 2θ ≤ 90°), in order of falling intensity:
2theta, I/Imax
15.9, 100.0
15.1, 89.7
16.6, 81.3
16.1, 75.8
26.7, 52.7
27.1, 51.7
29.0, 48.6
26.4, 48.5
28.4, 44.0
27.7, 28.2

---

Calculated X-ray diffraction stick pattern
Compound: K2Rb2Hg
Radiation: λ = 1.5418 Å (Cu Kα)
Structure: a DFT-relaxed cell (GGA-PBE, Alexandria)
Kinematic intensities with the Lorentz-polarization factor, no thermal factor.

Crystal structure
Cell: 9.676 9.676 7.417 Å, 90.00 90.00 90.00°
Fractional positions:
K (0.173, 0.327, 0.000)
K (0.327, 0.827, 0.000)
K (0.673, 0.173, 0.000)
K (0.827, 0.673, 0.000)
Rb (0.159, 0.659, 0.500)
Rb (0.341, 0.159, 0.500)
Rb (0.659, 0.841, 0.500)
Rb (0.841, 0.341, 0.500)
Hg (0.000, 0.000, 0.500)
Hg (0.500, 0.500, 0.500)

The 10 most intense peaks (10° ≤ 2θ ≤ 90°), in order of falling intensity:
2theta, I/Imax
11.9, 100.0
23.8, 79.9
29.2, 68.7
38.1, 67.0
31.6, 66.0
17.6, 56.5
24.0, 53.5
21.9, 38.4
12.9, 32.5
26.0, 27.2

---

Calculated X-ray diffraction stick pattern
Compound: ScAg
Radiation: λ = 1.5418 Å (Cu Kα)
Structure: a DFT-relaxed cell (GGA-PBE, Alexandria)
Kinematic intensities with the Lorentz-polarization factor, no thermal factor.

Crystal structure
Cell: 5.457 5.457 5.457 Å, 134.92 134.92 65.65°
Fractional positions:
Sc (0.375, 0.625, 0.750)
Sc (0.625, 0.375, 0.250)
Ag (0.125, 0.875, 0.250)
Ag (0.875, 0.125, 0.750)

The 10 most intense peaks (10° ≤ 2θ ≤ 90°), in order of falling intensity:
2theta, I/Imax
36.1, 100.0
43.3, 29.4
23.4, 28.0
74.7, 21.2
59.9, 21.0
39.3, 19.6
69.2, 13.3
76.7, 9.8
36.4, 9.2
62.8, 9.0

---

Calculated X-ray diffraction stick pattern
Compound: SiBi2RhS
Radiation: λ = 1.5418 Å (Cu Kα)
Structure: a DFT-relaxed cell (GGA-PBE, Alexandria)
Kinematic intensities with the Lorentz-polarization factor, no thermal factor.

Crystal structure
Cell: 5.426 5.426 4.429 Å, 90.00 90.00 90.00°
Fractional positions:
Si (0.000, 0.000, 0.000)
Bi (0.000, 0.500, 0.500)
Bi (0.500, 0.000, 0.500)
Rh (0.000, 0.000, 0.500)
S (0.500, 0.500, 0.000)

The 10 most intense peaks (10° ≤ 2θ ≤ 90°), in order of falling intensity:
2theta, I/Imax
20.0, 100.0
33.0, 97.5
30.8, 93.9
38.9, 78.2
53.4, 60.0
47.4, 49.3
23.2, 39.1
51.9, 34.8
57.6, 33.1
64.2, 29.0

---

Calculated X-ray diffraction stick pattern
Compound: LiMg6Zn2
Radiation: λ = 1.5418 Å (Cu Kα)
Structure: a DFT-relaxed cell (GGA-PBE, Alexandria)
Kinematic intensities with the Lorentz-polarization factor, no thermal factor.

Crystal structure
Cell: 4.835 4.835 8.803 Å, 90.00 90.00 120.00°
Fractional positions:
Li (0.000, 0.000, 0.000)
Mg (0.000, 0.000, 0.322)
Mg (0.000, 0.000, 0.678)
Mg (0.333, 0.667, 0.541)
Mg (0.333, 0.667, 0.891)
Mg (0.667, 0.333, 0.109)
Mg (0.667, 0.333, 0.459)
Zn (0.333, 0.667, 0.215)
Zn (0.667, 0.333, 0.785)

The 10 most intense peaks (10° ≤ 2θ ≤ 90°), in order of falling intensity:
2theta, I/Imax
37.2, 100.0
37.4, 97.0
23.5, 52.6
53.8, 32.6
67.2, 31.9
21.2, 20.3
20.2, 17.6
67.7, 16.4
67.1, 16.3
42.7, 15.2

---

Calculated X-ray diffraction stick pattern
Compound: Sr2AlGe3
Radiation: λ = 1.5418 Å (Cu Kα)
Structure: a DFT-relaxed cell (GGA-PBE, Alexandria)
Kinematic intensities with the Lorentz-polarization factor, no thermal factor.

Crystal structure
Cell: 8.760 8.711 6.486 Å, 68.62 67.80 43.58°
Fractional positions:
Sr (0.239, 0.761, 0.239)
Sr (0.250, 0.250, 0.250)
Sr (0.750, 0.750, 0.750)
Sr (0.761, 0.239, 0.761)
Al (0.335, 0.335, 0.665)
Al (0.665, 0.665, 0.335)
Ge (0.166, 0.166, 0.834)
Ge (0.174, 0.656, 0.826)
Ge (0.344, 0.826, 0.656)
Ge (0.656, 0.174, 0.344)
Ge (0.826, 0.344, 0.174)
Ge (0.834, 0.834, 0.166)

The 10 most intense peaks (10° ≤ 2θ ≤ 90°), in order of falling intensity:
2theta, I/Imax
30.1, 100.0
30.8, 51.2
41.5, 42.7
58.2, 30.5
38.9, 25.5
51.1, 24.0
39.7, 23.9
56.8, 16.2
65.0, 10.4
69.6, 10.3

---

Calculated X-ray diffraction stick pattern
Compound: Ta3H2
Radiation: λ = 1.5418 Å (Cu Kα)
Structure: a DFT-relaxed cell (GGA-PBE, Alexandria)
Kinematic intensities with the Lorentz-polarization factor, no thermal factor.

Crystal structure
Cell: 2.915 4.827 4.874 Å, 60.33 89.05 89.85°
Fractional positions:
Ta (0.000, 0.000, 0.000)
Ta (0.327, 0.326, 0.349)
Ta (0.673, 0.674, 0.651)
H (0.499, 0.261, 0.999)
H (0.501, 0.739, 0.001)

The 10 most intense peaks (10° ≤ 2θ ≤ 90°), in order of falling intensity:
2theta, I/Imax
36.9, 100.0
37.4, 97.7
37.3, 48.9
37.8, 46.7
67.3, 25.8
66.9, 17.8
53.0, 17.7
54.0, 17.3
54.2, 16.9
78.5, 10.9